[1]
Computed X-ray powder pattern
Compound: Mn2IrF8
Radiation: Cu Ka
Structure: the GGA+U geometry in Alexandria
Peak positions follow from Bragg's law for the DFT cell and can differ from measured ones.

The 6 most intense peaks (2θ from 10° to 90°), low angle first:
(hkl)	2theta	I/Imax
1 0 0	15.56	83
1 0 1	26.66	93
1 1 0	27.11	100
1 1 1	34.87	42
2 1 1	47.63	42
2 1 2	62.29	29

Structure:
```
data_Mn2IrF8
_symmetry_space_group_name_H-M 'P -3 m 1'
_symmetry_Int_Tables_number 164
_symmetry_space_group_name_Hall '-P 3 2"'
_cell_length_a 6.5777
_cell_length_b 6.5777
_cell_length_c 4.1309
_cell_angle_alpha 90.00
_cell_angle_beta 90.00
_cell_angle_gamma 120.00
loop_
_atom_site_label
_atom_site_type_symbol
_atom_site_fract_x
_atom_site_fract_y
_atom_site_fract_z
Mn1 Mn 0.3333 0.6667 0.2683
Ir1 Ir 0.0000 0.0000 0.5000
F1 F 0.1486 0.2972 0.2547
F2 F 0.3333 0.6667 0.7679
```



[2]
Computed X-ray powder pattern
Compound: MnIr2F
Radiation: Cu Ka
Structure: the GGA+U geometry in Alexandria
Peak positions follow from Bragg's law for the DFT cell and can differ from measured ones.

The 6 most intense peaks (2θ from 10° to 90°), low angle first:
(hkl)	2theta	I/Imax
2 0 0	23.46	100
2 1 1	33.08	53
2 2 0	33.42	86
1 1 2	43.64	79
3 1 2	56.06	48
4 3 1	64.88	30

Structure:
```
data_MnIr2F
_symmetry_space_group_name_H-M 'I -4 2 d'
_symmetry_Int_Tables_number 122
_symmetry_space_group_name_Hall 'I -4 2bw'
_cell_length_a 7.5837
_cell_length_b 7.5837
_cell_length_c 4.4986
_cell_angle_alpha 90.00
_cell_angle_beta 90.00
_cell_angle_gamma 90.00
loop_
_atom_site_label
_atom_site_type_symbol
_atom_site_fract_x
_atom_site_fract_y
_atom_site_fract_z
Mn1 Mn 0.0000 0.0000 0.0000
Ir1 Ir 0.1975 0.2500 0.6250
F1 F 0.0000 0.0000 0.5000
```